Diffraction record for Mg2BiPO6. The XRD peak list is theoretical, not measured: it uses a PBE-relaxed structure and Cu Kα, 1.54184 Å.
Peak positions follow from Bragg's law for the DFT cell and can differ from measured ones.

Peak list (12 most intense, 5° ≤ 2θ ≤ 70°, in order of falling intensity)
hkl, 2theta, intensity
3 1 1, 30.0, 100
1 0 1, 13.4, 96
2 1 2, 31.8, 88
2 1 0, 22.2, 40
0 0 2, 22.5, 31
1 2 3, 49.2, 24
1 2 1, 36.3, 24
6 2 0, 57.2, 21
5 2 1, 52.3, 20
1 1 1, 21.4, 20
0 2 0, 33.6, 19
5 0 3, 51.2, 19

Cell and atoms:
```
data_Mg2BiPO6
_space_group_name_H-M_alt 'P n m a'
_space_group_IT_number 62
_space_group_name_Hall '-P 2ac 2n'
_cell_length_a 12.1147
_cell_length_b 5.3373
_cell_length_c 7.9022
_cell_angle_alpha 90.00
_cell_angle_beta 90.00
_cell_angle_gamma 90.00
loop_
_atom_site_label
_atom_site_type_symbol
_atom_site_fract_x
_atom_site_fract_y
_atom_site_fract_z
Mg1 Mg 0.0953 0.2500 0.1984
Mg2 Mg 0.0998 0.2500 0.8058
Bi1 Bi 0.0960 0.7500 0.4935
P1 P 0.1985 0.7500 0.0095
O1 O 0.0033 0.0007 0.6729
O2 O 0.1251 0.5075 0.0020
O3 O 0.2217 0.2500 0.3585
O4 O 0.2402 0.2500 0.6802
```